For NpZn4Au4, a structure optimized by DFT (GGA-PBE) gives the computed powder diffraction line list in this record (Cu Kα (λ = 1.5418 Å)).
Neutral-atom scattering factors, no anomalous dispersion.

Atomic structure:
Unit cell a=8.422 b=8.422 c=4.829 alpha=90.00 beta=90.00 gamma=90.00
Space group I4/m (No. 87)
Inequivalent atoms, fractional coordinates:
Np 0.000 0.000 0.000 (multiplicity 2)
Zn 0.113 0.222 0.500 (multiplicity 8)
Au 0.082 0.348 0.000 (multiplicity 8)

Principal peaks in the range 2θ = 10–90°, sorted by position:
two_theta	I_rel
21.21	24
30.09	63
33.65	80
37.04	81
37.24	58
43.01	100
51.06	50
70.78	38
71.13	22
74.81	26


For LiTlGaPt, a structure optimized by DFT (GGA-PBE) gives the computed powder diffraction line list in this record (Cu Kα (λ = 1.5418 Å)).
Neutral-atom scattering factors, no anomalous dispersion.

Atomic structure:
Unit cell a=6.550 b=6.550 c=6.550 alpha=90.00 beta=90.00 gamma=90.00
Space group F-43m (No. 216)
Inequivalent atoms, fractional coordinates:
Li 0.000 0.000 0.000 (multiplicity 4)
Tl 0.250 0.250 0.250 (multiplicity 4)
Ga 0.250 0.250 0.750 (multiplicity 4)
Pt 0.000 0.000 0.500 (multiplicity 4)

Principal peaks in the range 2θ = 10–90°, sorted by position:
two_theta	I_rel
23.52	55
27.23	3
38.89	100
45.95	29
56.17	17
61.73	12
70.42	35
75.40	9
83.48	11
88.26	10


For Rb2AgC3S3N3, a structure optimized by DFT (GGA-PBE) gives the computed powder diffraction line list in this record (Cu Kα (λ = 1.5418 Å)).
Neutral-atom scattering factors, no anomalous dispersion.

Atomic structure:
Unit cell a=9.553 b=16.472 c=7.973 alpha=90.00 beta=108.14 gamma=90.00
Space group P2_1/c (No. 14)
Inequivalent atoms, fractional coordinates:
Rb 0.140 0.010 0.321 (multiplicity 4)
Rb 0.308 0.155 0.950 (multiplicity 4)
Ag 0.259 0.741 0.282 (multiplicity 4)
C 0.007 0.184 0.568 (multiplicity 4)
C 0.249 0.549 0.388 (multiplicity 4)
C 0.440 0.154 0.483 (multiplicity 4)
S 0.070 0.725 0.465 (multiplicity 4)
S 0.345 0.593 0.275 (multiplicity 4)
S 0.438 0.640 0.822 (multiplicity 4)
N 0.065 0.120 0.592 (multiplicity 4)
N 0.181 0.515 0.468 (multiplicity 4)
N 0.349 0.163 0.343 (multiplicity 4)

Principal peaks in the range 2θ = 10–90°, sorted by position:
two_theta	I_rel
10.74	39
11.13	55
18.89	45
19.56	39
22.42	42
23.09	41
23.72	43
25.35	48
27.75	50
28.79	100


For NaSrTc2O8, a structure optimized by DFT (GGA-PBE) gives the computed powder diffraction line list in this record (Cu Kα (λ = 1.5418 Å)).
Neutral-atom scattering factors, no anomalous dispersion.

Atomic structure:
Unit cell a=7.687 b=7.687 c=6.859 alpha=90.00 beta=90.00 gamma=90.00
Space group I-4m2 (No. 119)
Inequivalent atoms, fractional coordinates:
Na 0.000 0.000 0.000 (multiplicity 2)
Sr 0.000 0.500 0.750 (multiplicity 2)
Tc 0.000 0.000 0.500 (multiplicity 2)
Tc 0.000 0.500 0.250 (multiplicity 2)
O 0.000 0.184 0.653 (multiplicity 8)
O 0.000 0.318 0.093 (multiplicity 8)

Principal peaks in the range 2θ = 10–90°, sorted by position:
two_theta	I_rel
17.33	29
23.14	100
29.06	23
30.83	72
32.96	18
45.75	58
47.30	17
57.53	17
64.23	13
67.92	14